Record 1
LaB5O9: simulated powder diffractogram (Cu Kα, 1.54184 Å), based on the GGA-PBE geometry in Alexandria.

Structure:
abc: 6.502 11.840 8.282
angles: 90.00 105.28 90.00
Space group P2_1/c (No. 14)
Inequivalent atoms, fractional coordinates:
La  0.249  0.173  0.137 x4
B  0.021  0.597  0.727 x4
B  0.210  0.057  0.453 x4
B  0.276  0.750  0.334 x4
B  0.314  0.631  0.594 x4
B  0.352  0.037  0.754 x4
O  0.087  0.613  0.571 x4
O  0.089  0.697  0.839 x4
O  0.102  0.011  0.301 x4
O  0.217  0.098  0.826 x4
O  0.255  0.169  0.448 x4
O  0.278  0.509  0.095 x4
O  0.365  0.663  0.438 x4
O  0.392  0.721  0.722 x4
O  0.436  0.526  0.662 x4

Peak list (12 most intense, 2θ from 15° to 90°, in order of rising 2θ)
15.99°, I 100; 21.56°, I 33; 23.03°, I 30; 23.50°, I 52; 25.17°, I 52; 27.46°, I 41; 28.46°, I 40; 30.42°, I 33; 31.61°, I 25; 32.23°, I 44; 43.98°, I 31; 44.75°, I 24

---

Record 2
Sc2Hg: simulated powder diffractogram (Cu Kα, 1.54184 Å), based on the GGA-PBE geometry in Alexandria.

Structure:
abc: 6.836 6.836 6.157
angles: 90.00 90.00 90.00
Space group I4/mcm (No. 140)
Inequivalent atoms, fractional coordinates:
Sc  0.168  0.332  0.000 x8
Hg  0.000  0.000  0.250 x4

Peak list (12 most intense, 2θ from 15° to 90°, in order of rising 2θ)
18.35°, I 100; 26.07°, I 33; 32.71°, I 14; 34.54°, I 68; 37.20°, I 28; 39.39°, I 59; 41.79°, I 49; 47.85°, I 18; 51.67°, I 23; 62.12°, I 15; 65.37°, I 18; 75.88°, I 17

---

Record 3
AcPrSeN: simulated powder diffractogram (Cu Kα, 1.54184 Å), based on the GGA-PBE geometry in Alexandria.

Structure:
abc: 3.9629 3.9629 21.1537
angles: 90.00 90.00 120.00
Space group R3m (No. 160, hexagonal axes)
Inequivalent atoms, fractional coordinates:
Ac  0.0000  0.0000  0.0000 x3
Pr  0.0000  0.0000  0.4694 x3
Se  0.0000  0.0000  0.2302 x3
N  0.0000  0.0000  0.7381 x3

Peak list (12 most intense, 2θ from 15° to 90°, in order of rising 2θ)
25.26°, I 14; 26.31°, I 13; 27.32°, I 51; 31.07°, I 100; 33.63°, I 27; 38.29°, I 12; 43.19°, I 27; 45.79°, I 39; 56.37°, I 18; 61.18°, I 20; 63.25°, I 12; 75.46°, I 16

---

Record 4
Tb4Y3Th2: simulated powder diffractogram (Cu Kα, 1.54184 Å), based on the GGA-PBE geometry in Alexandria.

Structure:
abc: 18.693 3.603 9.546
angles: 90.00 115.67 90.00
Space group C2/m (No. 12)
Inequivalent atoms, fractional coordinates:
Tb  0.018  0.000  0.333 x4
Tb  0.185  0.500  0.329 x4
Y  0.000  0.500  0.000 x2
Y  0.149  0.500  0.671 x4
Th  0.168  0.000  0.001 x4

Peak list (12 most intense, 2θ from 15° to 90°, in order of rising 2θ)
28.84°, I 43; 31.19°, I 47; 31.88°, I 100; 33.58°, I 83; 40.22°, I 20; 45.63°, I 11; 50.72°, I 36; 54.82°, I 23; 58.09°, I 11; 60.71°, I 28; 60.82°, I 14; 62.21°, I 14